# 1
For TbY4Er10, the PBE geometry in Alexandria gives the simulated powder diffractogram in this record (a wavelength of 1.5418 Å).

Structure:
a b c (Å): 9.7066 9.7066 10.3407
angles (deg): 90.00 90.00 90.00
Space group I4/m (No. 87)
Symmetry-distinct sites (fractional):
Tb (0.0000, 0.0000, 0.0000) [2 per cell]
Y (0.0709, 0.6670, 0.0000) [8 per cell]
Er (0.0000, 0.5000, 0.2500) [4 per cell]
Er (0.1109, 0.7866, 0.3386) [16 per cell]

Largest 10 diffraction maxima, low angle first, 2θ from 15° to 90°:
27.46°, rel. 72, hkl 1 0 3
28.91°, rel. 49, hkl 3 0 1
29.09°, rel. 100, hkl 1 3 0
33.19°, rel. 64, hkl 1 2 3
33.97°, rel. 75, hkl 1 3 2
34.42°, rel. 33, hkl 2 3 1
41.61°, rel. 39, hkl 4 2 0
42.61°, rel. 33, hkl 3 2 3
45.31°, rel. 25, hkl 4 2 2
60.33°, rel. 26, hkl 2 6 0



# 2
For TbY7Er12, the PBE geometry in Alexandria gives the simulated powder diffractogram in this record (a wavelength of 1.5418 Å).

Structure:
a b c (Å): 12.7488 12.7488 13.5648
angles (deg): 90.00 90.00 120.00
Space group R-3 (No. 148, hexagonal axes)
Symmetry-distinct sites (fractional):
Tb (0.0000, 0.0000, 0.0000) [3 per cell]
Y (0.0000, 0.0000, 0.5000) [3 per cell]
Y (0.0678, 0.2016, 0.8514) [18 per cell]
Er (0.0040, 0.5667, 0.2471) [18 per cell]
Er (0.0682, 0.8681, 0.3456) [18 per cell]

Largest 10 diffraction maxima, low angle first, 2θ from 15° to 90°:
24.14°, rel. 20, hkl 2 -1 3
27.51°, rel. 20, hkl 1 0 4
29.91°, rel. 80, hkl 1 3 1
30.95°, rel. 49, hkl 0 2 4
32.07°, rel. 100, hkl 4 -1 2
39.64°, rel. 29, hkl 1 2 5
42.48°, rel. 31, hkl 4 1 3
47.23°, rel. 18, hkl 6 -3 3
51.70°, rel. 17, hkl 5 2 0
55.82°, rel. 17, hkl 7 -5 3



# 3
For TbY7Er2, the PBE geometry in Alexandria gives the simulated powder diffractogram in this record (a wavelength of 1.5418 Å).

Structure:
a b c (Å): 6.1677 29.6144 3.5104
angles (deg): 90.00 90.59 90.00
Space group C2/m (No. 12)
Symmetry-distinct sites (fractional):
Tb (0.0000, 0.0000, 0.0000) [2 per cell]
Y (0.0000, 0.3046, 0.0000) [4 per cell]
Y (0.0000, 0.5000, 0.5000) [2 per cell]
Y (0.2469, 0.1008, 0.2605) [8 per cell]
Er (0.0000, 0.2048, 0.5000) [4 per cell]

Largest 10 diffraction maxima, low angle first, 2θ from 15° to 90°:
29.30°, rel. 26, hkl 1 1 -1
30.18°, rel. 98, hkl 0 10 0
30.55°, rel. 45, hkl 1 3 -1
30.80°, rel. 100, hkl 1 3 1
31.43°, rel. 76, hkl 2 4 0
32.91°, rel. 49, hkl 1 5 -1
34.29°, rel. 51, hkl 2 6 0
36.20°, rel. 33, hkl 1 7 -1
36.41°, rel. 59, hkl 1 7 1
69.58°, rel. 25, hkl 2 10 2



# 4
For TbY6Er8, the PBE geometry in Alexandria gives the simulated powder diffractogram in this record (a wavelength of 1.5418 Å).

Structure:
a b c (Å): 9.0042 9.0042 20.4694
angles (deg): 90.00 90.00 120.00
Space group R-3 (No. 148, hexagonal axes)
Symmetry-distinct sites (fractional):
Tb (0.0000, 0.0000, 0.0000) [3 per cell]
Y (0.0657, 0.2479, 0.7077) [18 per cell]
Er (0.0000, 0.0000, 0.4239) [6 per cell]
Er (0.0814, 0.5523, 0.8086) [18 per cell]

Largest 10 diffraction maxima, low angle first, 2θ from 15° to 90°:
30.65°, rel. 33, hkl 3 -1 1
31.59°, rel. 100, hkl 3 -2 2
31.69°, rel. 71, hkl 2 0 5
32.71°, rel. 51, hkl 1 0 7
35.14°, rel. 22, hkl 2 1 4
37.01°, rel. 26, hkl 0 3 3
40.05°, rel. 14, hkl 2 2 0
47.54°, rel. 13, hkl 3 1 5
53.54°, rel. 21, hkl 0 3 9
60.69°, rel. 23, hkl 5 -2 7



# 5
For Tb2Y2Er, the PBE geometry in Alexandria gives the simulated powder diffractogram in this record (a wavelength of 1.5418 Å).

Structure:
a b c (Å): 14.5537 7.1368 6.1815
angles (deg): 90.00 98.15 90.00
Space group P2_1/c (No. 14)
Symmetry-distinct sites (fractional):
Tb (0.0010, 0.1250, 0.2520) [4 per cell]
Tb (0.3985, 0.6250, 0.3830) [4 per cell]
Y (0.1992, 0.6248, 0.6477) [4 per cell]
Y (0.3978, 0.1250, 0.3840) [4 per cell]
Er (0.1990, 0.1253, 0.6498) [4 per cell]

Largest 10 diffraction maxima, low angle first, 2θ from 15° to 90°:
29.19°, rel. 28, hkl 1 2 -1
30.07°, rel. 51, hkl 1 2 1
30.72°, rel. 45, hkl 1 0 2
31.04°, rel. 78, hkl 5 0 0
32.40°, rel. 100, hkl 3 0 -2
33.40°, rel. 97, hkl 2 0 2
35.72°, rel. 33, hkl 4 0 -2
37.01°, rel. 27, hkl 4 2 -1
51.20°, rel. 57, hkl 0 4 0
61.09°, rel. 67, hkl 5 4 0



# 6
For Tb2Y10Er, the PBE geometry in Alexandria gives the simulated powder diffractogram in this record (a wavelength of 1.5418 Å).

Structure:
a b c (Å): 6.5318 15.6796 17.1616
angles (deg): 90.00 90.00 90.00
Space group Fmmm (No. 69)
Symmetry-distinct sites (fractional):
Tb (0.2500, 0.2500, 0.0000) [8 per cell]
Y (0.0000, 0.1029, 0.1013) [16 per cell]
Y (0.0000, 0.1821, 0.3289) [16 per cell]
Y (0.2500, 0.0000, 0.2500) [8 per cell]
Er (0.0000, 0.0000, 0.5000) [4 per cell]

Largest 10 diffraction maxima, low angle first, 2θ from 15° to 90°:
26.84°, rel. 49, hkl 1 3 3
29.96°, rel. 51, hkl 1 1 5
30.90°, rel. 68, hkl 0 4 4
31.45°, rel. 100, hkl 2 2 2
32.09°, rel. 51, hkl 1 5 1
33.35°, rel. 26, hkl 0 2 6
34.51°, rel. 35, hkl 2 0 4
35.79°, rel. 25, hkl 2 4 0
55.30°, rel. 40, hkl 2 6 6
56.37°, rel. 18, hkl 4 0 0



# 7
For Tb4Y3Er3, the PBE geometry in Alexandria gives the simulated powder diffractogram in this record (a wavelength of 1.5418 Å).

Structure:
a b c (Å): 3.7436 13.0719 13.0717
angles (deg): 90.00 90.00 90.00
Space group Amm2 (No. 38)
Symmetry-distinct sites (fractional):
Tb (0.0000, 0.0000, 0.0000) [2 per cell]
Tb (0.0000, 0.0000, 0.2580) [2 per cell]
Tb (0.0000, 0.1281, 0.6311) [4 per cell]
Y (0.5000, 0.0000, 0.4596) [2 per cell]
Y (0.5000, 0.1704, 0.1294) [4 per cell]
Er (0.0000, 0.2494, 0.8797) [4 per cell]
Er (0.5000, 0.0000, 0.7999) [2 per cell]

Largest 10 diffraction maxima, low angle first, 2θ from 15° to 90°:
27.29°, rel. 14, hkl 0 4 0
30.59°, rel. 72, hkl 0 4 2
30.74°, rel. 27, hkl 1 2 2
32.26°, rel. 100, hkl 1 1 3
35.00°, rel. 13, hkl 0 1 5
39.10°, rel. 20, hkl 1 2 4
48.64°, rel. 13, hkl 2 0 0
56.36°, rel. 27, hkl 0 8 0
58.56°, rel. 23, hkl 2 4 2
59.22°, rel. 18, hkl 1 7 3



# 8
For Tb5YEr5, the PBE geometry in Alexandria gives the simulated powder diffractogram in this record (a wavelength of 1.5418 Å).

Structure:
a b c (Å): 6.0255 6.0255 11.5800
angles (deg): 90.00 90.00 120.00
Space group P-6m2 (No. 187)
Symmetry-distinct sites (fractional):
Tb (0.0000, 0.0000, 0.0000) [1 per cell]
Tb (0.3333, 0.6667, 0.3175) [2 per cell]
Tb (0.6667, 0.3333, 0.1551) [2 per cell]
Y (0.3333, 0.6667, 0.0000) [1 per cell]
Er (0.0000, 0.0000, 0.2652) [2 per cell]
Er (0.3346, 0.1673, 0.5000) [3 per cell]

Largest 10 diffraction maxima, low angle first, 2θ from 15° to 90°:
28.77°, rel. 100, hkl 1 0 3
29.65°, rel. 87, hkl 1 1 0
30.66°, rel. 27, hkl 1 1 1
33.53°, rel. 37, hkl 1 1 2
35.26°, rel. 48, hkl 2 0 1
35.46°, rel. 41, hkl 1 0 4
37.85°, rel. 43, hkl 2 0 2
46.88°, rel. 25, hkl 2 0 4
52.07°, rel. 38, hkl 2 1 3
61.56°, rel. 29, hkl 2 2 0



# 9
For Tb9Y2Er3, the PBE geometry in Alexandria gives the simulated powder diffractogram in this record (a wavelength of 1.5418 Å).

Structure:
a b c (Å): 16.6637 5.4965 10.1544
angles (deg): 90.00 103.90 90.00
Space group C2/m (No. 12)
Symmetry-distinct sites (fractional):
Tb (0.0000, 0.0000, 0.0000) [2 per cell]
Tb (0.1169, 0.0000, 0.8072) [4 per cell]
Tb (0.1667, 0.0000, 0.2401) [4 per cell]
Tb (0.1718, 0.5000, 0.0136) [4 per cell]
Tb (0.2398, 0.0000, 0.5921) [4 per cell]
Y (0.0345, 0.5000, 0.2542) [4 per cell]
Er (0.0000, 0.0000, 0.5000) [2 per cell]
Er (0.1277, 0.5000, 0.6144) [4 per cell]

Largest 10 diffraction maxima, low angle first, 2θ from 15° to 90°:
26.83°, rel. 13, hkl 3 1 -2
31.05°, rel. 19, hkl 1 1 -3
31.49°, rel. 33, hkl 5 1 -1
31.86°, rel. 100, hkl 3 1 2
32.25°, rel. 15, hkl 6 0 -1
32.62°, rel. 97, hkl 0 2 0
33.49°, rel. 21, hkl 5 1 -2
46.50°, rel. 11, hkl 6 2 -1
57.50°, rel. 14, hkl 0 2 5
57.67°, rel. 19, hkl 3 3 2



# 10
For Tb2Y3Er5, the PBE geometry in Alexandria gives the simulated powder diffractogram in this record (a wavelength of 1.5418 Å).

Structure:
a b c (Å): 10.6137 15.6574 9.4361
angles (deg): 90.00 124.05 90.00
Space group C2/c (No. 15)
Symmetry-distinct sites (fractional):
Tb (0.1452, 0.1212, 0.0487) [8 per cell]
Y (0.0000, 0.2689, 0.7500) [4 per cell]
Y (0.1532, 0.3799, 0.5467) [8 per cell]
Er (0.0000, 0.0255, 0.2500) [4 per cell]
Er (0.0000, 0.2305, 0.2500) [4 per cell]
Er (0.0000, 0.4702, 0.7500) [4 per cell]
Er (0.2414, 0.3866, 0.2344) [8 per cell]

Largest 10 diffraction maxima, low angle first, 2θ from 15° to 90°:
22.74°, rel. 11, hkl 0 0 2
30.60°, rel. 100, hkl 2 4 -2
33.78°, rel. 23, hkl 4 0 -2
36.31°, rel. 12, hkl 0 6 1
38.46°, rel. 13, hkl 2 0 -4
46.43°, rel. 10, hkl 0 0 4
49.42°, rel. 10, hkl 0 6 3
58.44°, rel. 12, hkl 6 4 -4
58.58°, rel. 11, hkl 4 0 2
66.73°, rel. 14, hkl 2 4 4



# 11
For Tb4YEr, the PBE geometry in Alexandria gives the simulated powder diffractogram in this record (a wavelength of 1.5418 Å).

Structure:
a b c (Å): 3.5585 5.0201 10.6526
angles (deg): 90.00 90.00 90.00
Space group Pmmm (No. 47)
Symmetry-distinct sites (fractional):
Tb (0.0000, 0.0000, 0.1654) [2 per cell]
Tb (0.5000, 0.5000, 0.3318) [2 per cell]
Y (0.0000, 0.0000, 0.5000) [1 per cell]
Er (0.5000, 0.5000, 0.0000) [1 per cell]

Largest 10 diffraction maxima, low angle first, 2θ from 15° to 90°:
30.82°, rel. 100, hkl 1 1 0
35.74°, rel. 51, hkl 1 0 3
51.43°, rel. 30, hkl 2 0 0
51.47°, rel. 6, hkl 0 0 6
61.16°, rel. 35, hkl 2 1 3
61.23°, rel. 7, hkl 0 3 3
64.16°, rel. 6, hkl 2 2 0
64.26°, rel. 6, hkl 0 2 6
83.97°, rel. 15, hkl 2 3 3
86.68°, rel. 14, hkl 2 2 6



# 12
For TbY8Er2, the PBE geometry in Alexandria gives the simulated powder diffractogram in this record (a wavelength of 1.5418 Å).

Structure:
a b c (Å): 9.0336 16.2583 5.8838
angles (deg): 90.00 124.11 90.00
Space group C2/m (No. 12)
Symmetry-distinct sites (fractional):
Tb (0.0000, 0.0000, 0.0000) [2 per cell]
Y (0.0000, 0.2055, 0.0000) [4 per cell]
Y (0.0697, 0.5000, 0.7925) [4 per cell]
Y (0.2180, 0.1197, 0.6803) [8 per cell]
Er (0.0000, 0.3086, 0.5000) [4 per cell]

Largest 10 diffraction maxima, low angle first, 2θ from 15° to 90°:
21.26°, rel. 22, hkl 0 2 1
23.79°, rel. 22, hkl 2 0 0
27.43°, rel. 27, hkl 1 1 1
28.60°, rel. 22, hkl 0 4 1
30.24°, rel. 65, hkl 3 1 -1
30.57°, rel. 38, hkl 2 0 -2
31.48°, rel. 100, hkl 1 5 -1
31.61°, rel. 35, hkl 1 3 1
32.10°, rel. 19, hkl 1 1 -2
32.54°, rel. 64, hkl 2 4 0